Entry 1:
This entry pairs a crystal structure of PrNd6Cd5 with its simulated XRD peak list. Radiation: λ = 1.5418 Å (Cu Kα). Structure: a DFT-relaxed cell (GGA-PBE, Alexandria).

Structure:
```
12
Lattice="-2.736 3.933 8.274 2.736 -3.933 8.274 2.736 3.933 -8.274" Properties=species:S:1:pos:R:3 pbc="T T T"
Pr 0.000 0.000 0.000
Nd 2.736 -1.903 5.426
Nd 2.736 2.134 0.000
Nd 0.000 2.030 2.849
Nd 2.736 1.903 5.426
Nd 0.000 1.799 8.274
Nd 0.000 5.835 2.849
Cd 2.736 0.000 2.582
Cd 0.000 0.000 5.476
Cd 0.000 3.933 0.000
Cd 0.000 0.000 11.073
Cd 0.000 3.933 5.693
```

Most intense lines, 2θ = 15–90°, low angle first:
2theta	d (Å)	Rel. int.
32.4	2.763	100
32.7	2.736	20
46.2	1.966	7
46.8	1.942	14
57.6	1.601	7
57.7	1.597	7
57.9	1.593	14
58.2	1.585	15
67.8	1.382	8
77.6	1.230	6

Entry 2:
This entry pairs a crystal structure of Pr5Nd6Cd with its simulated XRD peak list. Radiation: λ = 1.5418 Å (Cu Kα). Structure: a DFT-relaxed cell (GGA-PBE, Alexandria).

Structure:
```
12
Lattice="-2.586 5.150 7.736 2.586 -5.150 7.736 2.586 5.150 -7.736" Properties=species:S:1:pos:R:3 pbc="T T T"
Pr 0.000 0.000 0.000
Pr 2.586 0.000 2.551
Pr 0.000 0.000 5.137
Pr 0.000 0.000 10.335
Pr 0.000 5.150 5.185
Nd 2.586 -2.519 5.199
Nd 2.586 2.618 0.000
Nd 0.000 2.632 2.538
Nd 2.586 2.519 5.199
Nd 0.000 2.533 7.736
Nd 0.000 7.669 2.538
Cd 0.000 5.150 0.000
```

Most intense lines, 2θ = 15–90°, low angle first:
2theta	d (Å)	Rel. int.
30.0	2.979	100
34.7	2.582	34
34.8	2.575	17
50.0	1.825	24
50.1	1.822	12
59.3	1.558	14
59.5	1.554	28
62.3	1.489	12
81.2	1.184	11
81.4	1.183	6

Entry 3:
This entry pairs a crystal structure of PrNd2Cd5 with its simulated XRD peak list. Radiation: λ = 1.5418 Å (Cu Kα). Structure: a DFT-relaxed cell (GGA-PBE, Alexandria).

Structure:
```
8
Lattice="-2.628 2.628 7.767 2.628 -2.628 7.767 2.628 2.628 -7.767" Properties=species:S:1:pos:R:3 pbc="T T T"
Pr 0.000 0.000 0.000
Nd 0.000 0.000 4.119
Nd 0.000 0.000 11.416
Cd 2.628 0.000 1.837
Cd 2.628 0.000 5.931
Cd 0.000 0.000 7.767
Cd 0.000 2.628 1.837
Cd 0.000 2.628 5.931
```

Most intense lines, 2θ = 15–90°, low angle first:
2theta	d (Å)	Rel. int.
33.4	2.685	100
34.1	2.628	50
46.8	1.942	8
49.0	1.858	18
59.2	1.562	16
60.6	1.528	35
70.1	1.343	9
71.9	1.314	5
81.6	1.180	7
82.0	1.175	8